Starting from DFT lattice parameters and positions (GGA-PBE), the PXRD pattern of HfCrCuS4 was simulated for Cu Kα (λ = 1.5418 Å).

Cell and atoms:
```
HfCrCuS4
1.0
6.0374 0.0000 0.0000
0.0000 3.5733 0.0000
-0.1342 0.0000 11.6879
Hf Cr Cu S
2 2 2 8
Cartesian
0.0458 0.0000 2.9913 Hf
5.8575 0.0000 8.6966 Hf
2.9075 1.7867 2.8401 Cr
2.9957 1.7867 8.8478 Cr
0.0000 0.0000 0.0000 Cu
2.9516 1.7867 5.8439 Cu
0.9411 1.7867 10.1774 S
1.0245 1.7867 4.4555 S
2.0188 0.0000 1.4588 S
2.0496 0.0000 7.4564 S
3.8536 0.0000 4.2315 S
3.8845 0.0000 10.2291 S
4.8787 1.7867 7.2324 S
4.9621 1.7867 1.5105 S
```

Most intense lines, 10° ≤ 2θ ≤ 80°, by angle:
d (Å)	I (rel.)
6.037	43
5.844	93
3.075	77
3.018	37
2.715	75
2.695	38
2.124	64
2.112	100
2.087	28
1.753	47


Starting from DFT lattice parameters and positions (GGA-PBE), the PXRD pattern of HfCrCuS4 was simulated for Cu Kα (λ = 1.5418 Å).

Cell and atoms:
```
HfCrCuS4
1.0
6.4907 0.0000 0.0000
-0.0262 7.4169 0.0000
-1.0473 -1.8226 12.2162
Hf Cr Cu S
4 4 4 16
Cartesian
0.0000 0.0000 0.0000 Hf
-0.1280 0.0590 8.5083 Hf
2.1339 3.5845 12.1501 Hf
4.2394 3.6443 4.8749 Hf
1.0255 1.7292 4.8937 Cr
1.0164 5.5860 4.9361 Cr
2.0802 0.0200 12.0998 Cr
3.2597 1.7687 8.5218 Cr
-0.0210 3.6116 8.5360 Cu
3.1560 5.5618 8.4437 Cu
4.3458 -0.0476 4.9184 Cu
5.3371 1.8011 12.1206 Cu
-0.0307 -0.0766 4.0917 S
0.0553 3.6716 4.0583 S
0.9712 5.4164 0.9146 S
1.0686 1.9105 0.9097 S
1.0090 5.4908 7.1549 S
1.1618 1.8372 7.1737 S
2.1672 3.6132 9.7471 S
2.1837 -0.0130 9.8106 S
3.1169 5.6115 4.0333 S
3.1434 1.6998 4.0135 S
4.2309 -0.0165 0.9100 S
4.3263 3.5682 0.9016 S
4.2310 -0.0083 7.2214 S
4.2667 3.6340 7.2684 S
5.3068 1.8512 9.8357 S
5.4158 5.4715 9.8360 S
```

Most intense lines, 10° ≤ 2θ ≤ 80°, by angle:
d (Å)	I (rel.)
4.072	100
3.207	28
3.061	37
3.043	35
3.030	35
2.645	28
2.635	55
1.872	31
1.866	30
1.793	62


Starting from DFT lattice parameters and positions (GGA-PBE), the PXRD pattern of HfCrCuS4 was simulated for Cu Kα (λ = 1.5418 Å).

Cell and atoms:
```
HfCrCuS4
1.0
6.0615 0.0000 0.0000
-0.0181 7.0493 0.0000
-0.0277 -0.1582 12.4009
Hf Cr Cu S
4 4 4 16
Cartesian
0.0000 0.0000 0.0000 Hf
6.0225 3.3614 12.3993 Hf
-0.0112 6.8437 6.2224 Hf
3.0537 1.7976 6.1457 Hf
6.0374 3.4421 6.1976 Cr
2.9596 5.1212 12.3479 Cr
2.9961 5.2164 6.2642 Cr
3.0410 1.7569 0.0446 Cr
0.8191 1.7309 3.0157 Cu
2.7914 1.6546 9.2606 Cu
3.1978 5.2144 3.0950 Cu
5.1895 5.1622 9.2881 Cu
0.9694 5.1320 10.9165 S
1.0003 1.7212 7.6112 S
0.9944 5.0687 7.6238 S
1.0860 1.6074 10.9725 S
1.9322 3.5499 4.7709 S
2.0932 0.0079 1.4428 S
2.0676 6.9132 4.7523 S
2.0887 3.4987 1.4482 S
3.8994 3.3567 10.9757 S
3.8971 6.8835 10.9869 S
3.9579 6.9302 7.6866 S
4.1006 3.5508 7.6508 S
4.9173 5.2757 1.4154 S
4.9135 5.1191 4.8258 S
5.0119 1.7524 1.4643 S
5.1720 1.7382 4.7522 S
```

Most intense lines, 10° ≤ 2θ ≤ 80°, by angle:
d (Å)	I (rel.)
6.199	100
4.297	24
3.084	23
3.047	42
3.031	20
2.747	36
2.723	72
2.185	39
2.167	43
2.161	45


Starting from DFT lattice parameters and positions (GGA-PBE), the PXRD pattern of CrCu3HgSe4 was simulated for Cu Kα (λ = 1.5418 Å).

Cell and atoms:
```
CrCu3HgSe4
1.0
5.8863 0.0000 0.0000
0.0000 5.8863 0.0000
0.0000 0.0000 5.8863
Cr Cu Hg Se
1 3 1 4
Cartesian
0.0000 0.0000 0.0000 Cr
0.0000 0.0000 2.9432 Cu
0.0000 2.9432 0.0000 Cu
2.9432 0.0000 0.0000 Cu
2.9432 2.9432 2.9432 Hg
1.3762 1.3762 1.3762 Se
1.3762 4.5102 4.5102 Se
4.5102 1.3762 4.5102 Se
4.5102 4.5102 1.3762 Se
```

Most intense lines, 10° ≤ 2θ ≤ 80°, by angle:
d (Å)	I (rel.)
4.162	38
3.398	100
2.632	8
2.403	19
2.081	100
1.775	45
1.573	12
1.472	15
1.350	17
1.202	30


Starting from DFT lattice parameters and positions (GGA-PBE), the PXRD pattern of Mg6CrCu was simulated for Cu Kα (λ = 1.5418 Å).

Cell and atoms:
```
Mg6CrCu
1.0
4.9090 0.0000 0.0000
0.0000 3.0521 5.2828
0.0000 -3.0521 5.2828
Mg Cr Cu
6 1 1
Cartesian
0.0000 0.0000 0.0000 Mg
0.0000 -1.4666 7.9004 Mg
0.0000 1.4666 7.9004 Mg
2.4545 0.0000 1.7719 Mg
2.4545 -1.4808 4.4675 Mg
2.4545 1.4808 4.4675 Mg
0.0000 0.0000 5.3289 Cr
2.4545 0.0000 7.0123 Cu
```

Most intense lines, 10° ≤ 2θ ≤ 80°, by angle:
d (Å)	I (rel.)
5.285	27
3.596	10
2.642	24
2.454	26
2.327	100
1.798	15
1.526	16
1.391	18
1.296	18
1.276	12


Starting from DFT lattice parameters and positions (GGA-PBE), the PXRD pattern of Mg14CrCu was simulated for Cu Kα (λ = 1.5418 Å).

Cell and atoms:
```
Mg14CrCu
1.0
6.2744 0.0000 0.0000
-3.1372 5.4338 0.0000
0.0000 0.0000 9.9354
Mg Cr Cu
14 1 1
Cartesian
0.0000 0.0000 2.4834 Mg
0.0000 0.0000 7.4520 Mg
-1.5137 2.7486 2.4514 Mg
-1.5137 2.7486 7.4840 Mg
1.5620 0.9018 0.0000 Mg
1.5788 0.9115 4.9677 Mg
1.5137 2.7486 2.4514 Mg
1.5137 2.7486 7.4840 Mg
0.0000 5.3704 2.4514 Mg
0.0000 5.3704 7.4840 Mg
4.6956 0.9115 4.9677 Mg
3.1372 3.6107 4.9677 Mg
4.7124 0.9018 0.0000 Mg
3.1372 3.6301 0.0000 Mg
0.0000 3.6225 4.9677 Cr
0.0000 3.6225 0.0000 Cu
```

Most intense lines, 10° ≤ 2θ ≤ 80°, by angle:
d (Å)	I (rel.)
5.434	14
3.666	8
2.717	26
2.484	25
2.384	100
1.833	15
1.569	17
1.414	17
1.326	18
1.310	13